(1)
Diffraction record for Cr6FeRh5. The powder X-ray diffraction pattern is computed, not measured: it uses the PBE geometry in Alexandria and copper Kα.
Intensities are scaled so that the largest is 100.

Principal peaks in the range 10 to 90 degrees two-theta, in order of rising 2θ:
2θ 42.0, d 2.151, I 100, hkl 1 2 3; 2θ 48.2, d 1.887, I 16, hkl 0 0 6; 2θ 48.6, d 1.873, I 16, hkl 2 0 0; 2θ 49.8, d 1.829, I 15, hkl 0 4 0; 2θ 70.9, d 1.329, I 10, hkl 2 0 6; 2θ 85.7, d 1.134, I 11, hkl 1 2 9; 2θ 86.2, d 1.128, I 11, hkl 3 2 3; 2θ 88.1, d 1.109, I 11, hkl 1 6 3

Structure:
```
data_Cr6FeRh5
_cell_length_a 3.746
_cell_length_b 7.318
_cell_length_c 11.324
_cell_angle_alpha 90.00
_cell_angle_beta 90.00
_cell_angle_gamma 90.00
_symmetry_space_group_name_H-M 'I m m m'
_symmetry_Int_Tables_number 71
_symmetry_space_group_name_Hall '-I 2 2'
loop_
_atom_site_label
_atom_site_fract_x
_atom_site_fract_y
_atom_site_fract_z
Cr1 0.000 0.245 0.160
Cr2 0.000 0.253 0.500
Fe1 0.000 0.000 0.000
Rh1 0.000 0.000 0.331
Rh2 0.000 0.500 0.000
Rh3 0.000 0.500 0.338
```

(2)
Diffraction record for Cr2FeSeS3. The powder X-ray diffraction pattern is computed, not measured: it uses the PBE geometry in Alexandria and copper Kα.
Intensities are scaled so that the largest is 100.

Principal peaks in the range 10 to 90 degrees two-theta, in order of rising 2θ:
2θ 17.4, d 5.110, I 50, hkl 2 0 -1; 2θ 34.6, d 2.592, I 99, hkl 1 1 1; 2θ 35.1, d 2.555, I 51, hkl 4 0 -2; 2θ 36.2, d 2.483, I 57, hkl 3 1 0; 2θ 41.9, d 2.157, I 45, hkl 3 1 -2; 2θ 45.0, d 2.015, I 74, hkl 3 1 1; 2θ 45.6, d 1.991, I 74, hkl 5 1 -1; 2θ 54.4, d 1.686, I 100, hkl 0 2 0

Structure:
```
data_Cr2FeSeS3
_cell_length_a 12.345
_cell_length_b 3.370
_cell_length_c 5.843
_cell_angle_alpha 90.00
_cell_angle_beta 116.85
_cell_angle_gamma 90.00
_symmetry_space_group_name_H-M 'C 1 m 1'
_symmetry_Int_Tables_number 8
loop_
_symmetry_equiv_pos_as_xyz
'x,y,z'
'x,-y,z'
'x+1/2,y+1/2,z'
'x+1/2,-y+1/2,z'
loop_
_atom_site_label
_atom_site_fract_x
_atom_site_fract_y
_atom_site_fract_z
Cr1 0.000 0.000 0.000
Cr2 0.024 0.500 0.634
Fe1 0.276 0.000 0.319
Se1 0.131 0.500 0.343
S1 0.153 0.000 0.881
S2 0.373 0.000 0.755
S3 0.407 0.500 0.300
```

(3)
Diffraction record for Cr2FeSeS3. The powder X-ray diffraction pattern is computed, not measured: it uses the PBE geometry in Alexandria and copper Kα.
Intensities are scaled so that the largest is 100.

Principal peaks in the range 10 to 90 degrees two-theta, in order of rising 2θ:
2θ 15.2, d 5.847, I 24, hkl 0 1 1; 2θ 24.9, d 3.582, I 35, hkl 0 2 0; 2θ 29.3, d 3.052, I 100, hkl 2 1 1; 2θ 35.5, d 2.531, I 79, hkl 0 0 4; 2θ 46.6, d 1.948, I 46, hkl 0 1 5; 2θ 50.9, d 1.793, I 19, hkl 0 4 0; 2θ 51.1, d 1.789, I 95, hkl 4 0 0; 2θ 75.1, d 1.265, I 16, hkl 4 4 0

Structure:
```
data_Cr2FeSeS3
_cell_length_a 7.148
_cell_length_b 7.172
_cell_length_c 10.116
_cell_angle_alpha 90.00
_cell_angle_beta 90.00
_cell_angle_gamma 90.00
_symmetry_space_group_name_H-M 'I m m 2'
_symmetry_Int_Tables_number 44
loop_
_symmetry_equiv_pos_as_xyz
'x,y,z'
'-x,-y,z'
'-x,y,z'
'x,-y,z'
'x+1/2,y+1/2,z+1/2'
'-x+1/2,-y+1/2,z+1/2'
'-x+1/2,y+1/2,z+1/2'
'x+1/2,-y+1/2,z+1/2'
loop_
_atom_site_label
_atom_site_fract_x
_atom_site_fract_y
_atom_site_fract_z
Cr1 0.000 0.241 0.000
Cr2 0.249 0.000 0.755
Fe1 0.000 0.000 0.355
Fe2 0.000 0.500 0.631
Se1 0.240 0.500 0.004
S1 0.000 0.230 0.761
S2 0.000 0.273 0.238
S3 0.236 0.000 0.994
```

(4)
Diffraction record for ScCrFe. The powder X-ray diffraction pattern is computed, not measured: it uses the PBE geometry in Alexandria and copper Kα.
Intensities are scaled so that the largest is 100.

Principal peaks in the range 10 to 90 degrees two-theta, in order of rising 2θ:
2θ 36.3, d 2.475, I 38, hkl 1 1 2; 2θ 42.3, d 2.138, I 100, hkl 1 2 1; 2θ 42.5, d 2.127, I 43, hkl 0 1 3; 2θ 43.0, d 2.104, I 47, hkl 1 0 3; 2θ 43.7, d 2.071, I 79, hkl 2 1 1; 2θ 44.0, d 2.058, I 68, hkl 0 2 2; 2θ 45.8, d 1.980, I 60, hkl 2 0 2; 2θ 77.1, d 1.237, I 43, hkl 2 2 4

Structure:
```
data_ScCrFe
_cell_length_a 4.794
_cell_length_b 5.081
_cell_length_c 7.025
_cell_angle_alpha 90.00
_cell_angle_beta 90.00
_cell_angle_gamma 90.00
_symmetry_space_group_name_H-M 'I m m a'
_symmetry_Int_Tables_number 74
_symmetry_space_group_name_Hall '-I 2b 2'
loop_
_atom_site_label
_atom_site_fract_x
_atom_site_fract_y
_atom_site_fract_z
Sc1 0.000 0.250 0.124
Cr1 0.250 0.250 0.750
Fe1 0.000 0.000 0.500
```

(5)
Diffraction record for ScCr2Fe2. The powder X-ray diffraction pattern is computed, not measured: it uses the PBE geometry in Alexandria and copper Kα.
Intensities are scaled so that the largest is 100.

Principal peaks in the range 10 to 90 degrees two-theta, in order of rising 2θ:
2θ 19.3, d 4.610, I 24, hkl 0 0 2; 2θ 37.3, d 2.409, I 73, hkl 1 0 3; 2θ 38.2, d 2.357, I 100, hkl 1 1 2; 2θ 46.8, d 1.939, I 82, hkl 2 0 0; 2θ 51.8, d 1.765, I 53, hkl 1 1 4; 2θ 55.2, d 1.665, I 23, hkl 1 0 5; 2θ 61.4, d 1.511, I 30, hkl 2 1 3; 2θ 68.4, d 1.371, I 23, hkl 2 2 0

Structure:
```
data_ScCr2Fe2
_cell_length_a 3.879
_cell_length_b 3.879
_cell_length_c 9.220
_cell_angle_alpha 90.00
_cell_angle_beta 90.00
_cell_angle_gamma 90.00
_symmetry_space_group_name_H-M 'I 4/m m m'
_symmetry_Int_Tables_number 139
_symmetry_space_group_name_Hall '-I 4 2'
loop_
_atom_site_label
_atom_site_fract_x
_atom_site_fract_y
_atom_site_fract_z
Sc1 0.000 0.000 0.000
Cr1 0.000 0.500 0.250
Fe1 0.000 0.000 0.376
```

(6)
Diffraction record for CrFe2Se4. The powder X-ray diffraction pattern is computed, not measured: it uses the PBE geometry in Alexandria and copper Kα.
Intensities are scaled so that the largest is 100.

Principal peaks in the range 10 to 90 degrees two-theta, in order of rising 2θ:
2θ 32.6, d 2.744, I 35, hkl 0 0 2; 2θ 32.9, d 2.719, I 100, hkl 1 1 1; 2θ 33.4, d 2.680, I 41, hkl 3 1 -1; 2θ 33.6, d 2.665, I 53, hkl 4 0 -2; 2θ 43.0, d 2.102, I 63, hkl 3 1 1; 2θ 43.8, d 2.066, I 47, hkl 5 1 -1; 2θ 51.5, d 1.774, I 53, hkl 3 1 -3; 2θ 51.6, d 1.770, I 33, hkl 0 2 0

Structure:
```
data_CrFe2Se4
_cell_length_a 12.729
_cell_length_b 3.540
_cell_length_c 6.154
_cell_angle_alpha 90.00
_cell_angle_beta 116.89
_cell_angle_gamma 90.00
_symmetry_space_group_name_H-M 'C 1 2/m 1'
_symmetry_Int_Tables_number 12
loop_
_symmetry_equiv_pos_as_xyz
'x,y,z'
'-x,-y,-z'
'-x,y,-z'
'x,-y,z'
'x+1/2,y+1/2,z'
'-x+1/2,-y+1/2,-z'
'-x+1/2,y+1/2,-z'
'x+1/2,-y+1/2,z'
loop_
_atom_site_label
_atom_site_fract_x
_atom_site_fract_y
_atom_site_fract_z
Cr1 0.000 0.000 0.000
Fe1 0.243 0.500 0.692
Se1 0.114 0.000 0.458
Se2 0.140 0.500 0.982
```

(7)
Diffraction record for Zn3Cr8FeSe16. The powder X-ray diffraction pattern is computed, not measured: it uses the PBE geometry in Alexandria and copper Kα.
Intensities are scaled so that the largest is 100.

Principal peaks in the range 10 to 90 degrees two-theta, in order of rising 2θ:
2θ 28.0, d 3.187, I 36, hkl 2 0 2; 2θ 29.2, d 3.053, I 50, hkl 0 2 4; 2θ 29.5, d 3.030, I 17, hkl 0 0 12; 2θ 34.0, d 2.639, I 100, hkl 2 0 8; 2θ 44.6, d 2.033, I 31, hkl 2 1 10; 2θ 48.6, d 1.872, I 65, hkl 2 2 0; 2θ 48.9, d 1.861, I 64, hkl 0 2 16; 2θ 71.5, d 1.320, I 18, hkl 4 0 16

Structure:
```
data_Zn3Cr8FeSe16
_cell_length_a 7.4866
_cell_length_b 7.4866
_cell_length_c 36.3645
_cell_angle_alpha 90.00
_cell_angle_beta 90.00
_cell_angle_gamma 120.00
_symmetry_space_group_name_H-M 'R 3 m'
_symmetry_Int_Tables_number 160
_symmetry_space_group_name_Hall 'R 3 -2"'
loop_
_atom_site_label
_atom_site_fract_x
_atom_site_fract_y
_atom_site_fract_z
Zn1 0.0000 0.0000 0.0000
Zn2 0.0000 0.0000 0.1245
Zn3 0.0000 0.0000 0.6245
Cr1 0.0000 0.0000 0.3114
Cr2 0.0000 0.0000 0.8142
Cr3 0.9996 0.4998 0.0624
Cr4 0.0016 0.5008 0.5617
Fe1 0.0000 0.0000 0.4997
Se1 0.0000 0.0000 0.1925
Se2 0.0000 0.0000 0.4331
Se3 0.0000 0.0000 0.6926
Se4 0.0000 0.0000 0.9319
Se5 0.0256 0.5128 0.9350
Se6 0.0294 0.5147 0.4362
Se7 0.1748 0.3496 0.5227
Se8 0.1810 0.3620 0.0223
```

(8)
Diffraction record for CrFe11Si4. The powder X-ray diffraction pattern is computed, not measured: it uses the PBE geometry in Alexandria and copper Kα.
Intensities are scaled so that the largest is 100.

Principal peaks in the range 10 to 90 degrees two-theta, in order of rising 2θ:
2θ 27.6, d 3.227, I 6, hkl 1 0 4; 2θ 32.0, d 2.794, I 3, hkl 0 1 8; 2θ 45.9, d 1.976, I 100, hkl 1 1 0; 2θ 54.5, d 1.685, I 2, hkl 0 1 20; 2θ 57.1, d 1.613, I 1, hkl 2 0 8; 2θ 67.0, d 1.397, I 15, hkl 0 2 16; 2θ 76.2, d 1.250, I 1, hkl 1 2 8; 2θ 85.0, d 1.141, I 29, hkl 3 0 0

Structure:
```
data_CrFe11Si4
_cell_length_a 3.9514
_cell_length_b 3.9514
_cell_length_c 38.7234
_cell_angle_alpha 90.00
_cell_angle_beta 90.00
_cell_angle_gamma 120.00
_symmetry_space_group_name_H-M 'R -3 m'
_symmetry_Int_Tables_number 166
_symmetry_space_group_name_Hall '-R 3 2"'
loop_
_atom_site_label
_atom_site_fract_x
_atom_site_fract_y
_atom_site_fract_z
Cr1 0.0000 0.0000 0.0000
Fe1 0.0000 0.0000 0.0614
Fe2 0.0000 0.0000 0.1877
Fe3 0.0000 0.0000 0.2497
Fe4 0.0000 0.0000 0.3131
Fe5 0.0000 0.0000 0.4370
Fe6 0.0000 0.0000 0.5000
Si1 0.0000 0.0000 0.1250
Si2 0.0000 0.0000 0.3751
```

Number 7 is which compound?
Zn3Cr8FeSe16